Calculated powder diffraction line list of MgCo3NiO8 for Cu Kα (weighted mean of Kα1 and Kα2), from a crystal structure in the Materials Project, relaxed with GGA+U.
Lines closer than 0.1° are merged.

Largest 10 diffraction maxima, sorted by position, 10 to 90 degrees two-theta:
(0 1 0), 17.72°, I 100
(2 1 0), 35.82°, I 17
(2 1 2), 36.70°, I 11
(0 1 -2), 38.78°, I 16
(2 0 0), 40.57°, I 16
(2 2 2), 41.74°, I 15
(0 2 -2), 49.50°, I 12
(2 3 0), 51.02°, I 10
(2 -1 0), 52.17°, I 10
(2 3 2), 53.44°, I 9

Atomic structure:
```
data_MgCo3NiO8
_cell_length_a 5.685
_cell_length_b 5.740
_cell_length_c 5.752
_cell_angle_alpha 79.75
_cell_angle_beta 61.96
_cell_angle_gamma 60.94
_symmetry_space_group_name_H-M 'P 1'
_symmetry_Int_Tables_number 1
_symmetry_space_group_name_Hall 'P 1'
loop_
_atom_site_label
_atom_site_type_symbol
_atom_site_fract_x
_atom_site_fract_y
_atom_site_fract_z
Mg1 Mg 0.000 0.000 0.000
Co1 Co 0.233 0.505 0.497
Co2 Co 0.249 0.474 0.003
Co3 Co 0.742 0.502 0.499
Ni1 Ni 0.727 0.525 0.995
O1 O 0.145 0.294 0.839
O2 O 0.189 0.298 0.303
O3 O 0.284 0.689 0.706
O4 O 0.298 0.709 0.158
O5 O 0.677 0.296 0.843
O6 O 0.692 0.313 0.292
O7 O 0.781 0.707 0.687
O8 O 0.830 0.707 0.150
```